Entry 1:
Diffraction record for Be2Cd3Au5. The X-ray powder pattern is simulated, not measured: it uses a structure optimized by DFT (PBE) and Cu Kα (λ = 1.5418 Å).

Principal peaks in the range 10 to 90 degrees two-theta, by angle:
(0 0 1), 2θ 28.76, I = 25
(3 2 0), 2θ 30.22, I = 43
(2 1 1), 2θ 34.48, I = 52
(4 1 0), 2θ 34.69, I = 64
(4 2 0), 2θ 37.73, I = 57
(3 1 1), 2θ 39.46, I = 100
(3 2 1), 2θ 42.21, I = 38
(5 5 0), 2θ 61.49, I = 20
(6 2 1), 2θ 62.71, I = 16
(5 5 1), 2θ 69.27, I = 38
(4 1 2), 2θ 70.80, I = 16
(4 2 2), 2θ 72.69, I = 17

Structure:
```
data_Be2Cd3Au5
_chemical_formula_sum 'Be4 Cd6 Au10'
_symmetry_space_group_name_H-M 'P 4/m b m'
_symmetry_Int_Tables_number 127
_symmetry_space_group_name_Hall '-P 4 2ab'
_cell_length_a 10.6630
_cell_length_b 10.6630
_cell_length_c 3.1041
_cell_angle_alpha 90.00
_cell_angle_beta 90.00
_cell_angle_gamma 90.00
loop_
_atom_site_label
_atom_site_fract_x
_atom_site_fract_y
_atom_site_fract_z
Be1 0.1253 0.3747 0.0000
Cd1 0.0000 0.0000 0.0000
Cd2 0.1666 0.6666 0.0000
Au1 0.0000 0.5000 0.5000
Au2 0.0910 0.2093 0.5000
```

---

Entry 2:
Diffraction record for Ga3CoRh4. The X-ray powder pattern is simulated, not measured: it uses a structure optimized by DFT (PBE) and Cu Kα (λ = 1.5418 Å).

Principal peaks in the range 10 to 90 degrees two-theta, by angle:
(0 1 2), 2θ 29.53, I = 5
(1 0 0), 2θ 29.79, I = 3
(0 0 4), 2θ 42.18, I = 25
(0 2 0), 2θ 42.33, I = 25
(1 1 2), 2θ 42.45, I = 100
(0 2 4), 2θ 61.29, I = 16
(2 0 0), 2θ 61.88, I = 8
(1 2 4), 2θ 69.62, I = 1
(1 1 6), 2θ 77.29, I = 16
(1 3 2), 2θ 77.50, I = 16
(2 0 4), 2θ 77.74, I = 8
(2 2 0), 2θ 77.84, I = 8

Structure:
```
data_Ga3CoRh4
_chemical_formula_sum 'Ga3 Co1 Rh4'
_symmetry_space_group_name_H-M 'P m m m'
_symmetry_Int_Tables_number 47
_cell_length_a 2.9988
_cell_length_b 4.2703
_cell_length_c 8.5698
_cell_angle_alpha 90.00
_cell_angle_beta 90.00
_cell_angle_gamma 90.00
loop_
_symmetry_equiv_pos_as_xyz
'x,y,z'
'-x,-y,-z'
'-x,-y,z'
'x,y,-z'
'x,-y,-z'
'-x,y,z'
'-x,y,-z'
'x,-y,z'
loop_
_atom_site_label
_atom_site_fract_x
_atom_site_fract_y
_atom_site_fract_z
Ga1 0.0000 0.0000 0.0000
Ga2 0.0000 0.5000 0.2581
Co1 0.0000 0.0000 0.5000
Rh1 0.5000 0.0000 0.2460
Rh2 0.5000 0.5000 0.0000
Rh3 0.5000 0.5000 0.5000
```

---

Entry 3:
Diffraction record for VNiIr2Os. The X-ray powder pattern is simulated, not measured: it uses a structure optimized by DFT (PBE) and Cu Kα (λ = 1.5418 Å).

Principal peaks in the range 10 to 90 degrees two-theta, by angle:
(1 0 0), 2θ 20.06, I = 28
(0 0 1), 2θ 20.68, I = 14
(1 1 1), 2θ 35.49, I = 100
(2 0 0), 2θ 40.77, I = 52
(0 0 2), 2θ 42.07, I = 24
(2 1 0), 2θ 45.84, I = 7
(2 0 1), 2θ 46.14, I = 7
(2 2 0), 2θ 59.03, I = 18
(2 0 2), 2θ 60.03, I = 33
(3 1 1), 2θ 70.80, I = 27
(1 1 3), 2θ 72.62, I = 13
(2 2 2), 2θ 75.12, I = 17

Structure:
```
data_VNiIr2Os
_chemical_formula_sum 'V1 Ni1 Ir2 Os1'
_symmetry_space_group_name_H-M 'P 4/m m m'
_symmetry_Int_Tables_number 123
_symmetry_space_group_name_Hall '-P 4 2'
_cell_length_a 4.4260
_cell_length_b 4.4260
_cell_length_c 4.2952
_cell_angle_alpha 90.00
_cell_angle_beta 90.00
_cell_angle_gamma 90.00
loop_
_atom_site_label
_atom_site_fract_x
_atom_site_fract_y
_atom_site_fract_z
V1 0.0000 0.0000 0.0000
Ni1 0.5000 0.5000 0.5000
Ir1 0.0000 0.5000 0.5000
Os1 0.5000 0.5000 0.0000
```